# 1
This entry pairs a crystal structure of PmY2Er with its theoretical X-ray diffraction stick pattern. Radiation: Cu Kα. Structure: the GGA-PBE geometry in Alexandria.
Lines closer than 0.1° are merged.

Structure:
a b c (Å): 6.760 6.760 6.302
angles (deg): 117.76 117.76 31.37
Atoms (fractional coordinates):
1 Pm 0.000 0.000 0.000
2 Y 0.248 0.248 0.911
3 Y 0.497 0.497 0.496
4 Er 0.749 0.749 0.414

Main lines, in order of rising 2θ (10° ≤ 2θ ≤ 90°):
d_spacing	I (rel.)
5.514	8
3.158	24
2.848	24
2.762	100
2.115	16
1.821	13
1.627	20
1.538	7
1.534	15
1.523	11

---

# 2
This entry pairs a crystal structure of CeSiP2N6 with its theoretical X-ray diffraction stick pattern. Radiation: Cu Kα. Structure: the GGA-PBE geometry in Alexandria.
Lines closer than 0.1° are merged.

Structure:
a b c (Å): 6.829 6.829 5.851
angles (deg): 111.36 111.36 81.01
Atoms (fractional coordinates):
1 Ce 0.178 0.822 0.750
2 Ce 0.822 0.178 0.250
3 Si 0.200 0.800 0.250
4 Si 0.800 0.200 0.750
5 P 0.224 0.359 0.828
6 P 0.359 0.224 0.328
7 P 0.641 0.776 0.672
8 P 0.776 0.641 0.172
9 N 0.025 0.201 0.684
10 N 0.179 0.604 0.967
11 N 0.201 0.025 0.184
12 N 0.268 0.385 0.569
13 N 0.385 0.268 0.069
14 N 0.396 0.821 0.533
15 N 0.604 0.179 0.467
16 N 0.615 0.732 0.931
17 N 0.732 0.615 0.431
18 N 0.799 0.975 0.816
19 N 0.821 0.396 0.033
20 N 0.975 0.799 0.316

Main lines, in order of rising 2θ (10° ≤ 2θ ≤ 90°):
d_spacing	I (rel.)
6.358	62
4.869	69
4.558	52
3.469	64
3.229	88
3.179	100
2.874	47
2.813	69
2.354	37
2.036	37

---

# 3
This entry pairs a crystal structure of NdDy2Ge2Pt7 with its theoretical X-ray diffraction stick pattern. Radiation: Cu Kα. Structure: the GGA-PBE geometry in Alexandria.
Lines closer than 0.1° are merged.

Structure:
a b c (Å): 4.095 4.095 14.128
angles (deg): 96.72 96.72 89.22
Atoms (fractional coordinates):
1 Nd 0.000 0.000 0.000
2 Dy 0.126 0.126 0.360
3 Dy 0.874 0.874 0.640
4 Ge 0.395 0.395 0.739
5 Ge 0.605 0.605 0.261
6 Pt 0.065 0.565 0.161
7 Pt 0.362 0.362 0.566
8 Pt 0.435 0.935 0.839
9 Pt 0.500 0.500 0.000
10 Pt 0.565 0.065 0.161
11 Pt 0.638 0.638 0.434
12 Pt 0.935 0.435 0.839

Main lines, in order of rising 2θ (10° ≤ 2θ ≤ 90°):
d_spacing	I (rel.)
2.816	35
2.787	29
2.658	38
2.647	52
2.516	82
2.506	30
2.445	97
2.422	24
2.046	100
1.264	30